No. 1
The following is a calculated X-ray diffraction stick pattern of AsW2C. It was derived from a GGA-PBE-relaxed structure, using Cu Kα (weighted mean of Kα1 and Kα2).
Kinematic intensities with the Lorentz-polarization factor, no thermal factor.

Atomic structure:
a = 3.2667 Å, b = 3.2667 Å, c = 11.9319 Å
α = 90.00°, β = 90.00°, γ = 120.00°
Fractional positions:
As 0.3333 0.6667 0.2500
As 0.6667 0.3333 0.7500
W 0.3333 0.6667 0.5880
W 0.3333 0.6667 0.9120
W 0.6667 0.3333 0.0880
W 0.6667 0.3333 0.4120
C 0.0000 0.0000 0.0000
C 0.0000 0.0000 0.5000

Largest 10 diffraction maxima, sorted by position, 15 to 90 degrees two-theta:
- 31.63 deg, d 2.829, I 27
- 32.53 deg, d 2.753, I 11
- 39.07 deg, d 2.305, I 100
- 45.62 deg, d 1.989, I 13
- 56.33 deg, d 1.633, I 24
- 56.57 deg, d 1.627, I 12
- 70.68 deg, d 1.333, I 18
- 75.29 deg, d 1.262, I 19
- 79.91 deg, d 1.200, I 12
- 83.95 deg, d 1.153, I 4



No. 2
The following is a calculated X-ray diffraction stick pattern of Tm2I. It was derived from a GGA-PBE-relaxed structure, using Cu Kα (weighted mean of Kα1 and Kα2).
Kinematic intensities with the Lorentz-polarization factor, no thermal factor.

Atomic structure:
a = 6.5975 Å, b = 6.5975 Å, c = 6.5975 Å
α = 60.00°, β = 60.00°, γ = 60.00°
Fractional positions:
Tm 0.0000 0.0000 0.0000
Tm 0.0000 0.0000 0.5000
Tm 0.0000 0.5000 0.0000
Tm 0.5000 0.0000 0.0000
I 0.3750 0.3750 0.3750
I 0.6250 0.6250 0.6250

Largest 10 diffraction maxima, sorted by position, 15 to 90 degrees two-theta:
- 16.46 deg, d 5.387, I 15
- 27.03 deg, d 3.299, I 18
- 31.81 deg, d 2.813, I 100
- 33.26 deg, d 2.693, I 51
- 38.60 deg, d 2.333, I 10
- 50.85 deg, d 1.796, I 36
- 55.73 deg, d 1.649, I 33
- 65.61 deg, d 1.423, I 12
- 66.47 deg, d 1.407, I 21
- 78.79 deg, d 1.215, I 22



No. 3
The following is a calculated X-ray diffraction stick pattern of CuAg2. It was derived from a GGA-PBE-relaxed structure, using Cu Kα (weighted mean of Kα1 and Kα2).
Kinematic intensities with the Lorentz-polarization factor, no thermal factor.

Atomic structure:
a = 7.4279 Å, b = 7.4279 Å, c = 6.8711 Å
α = 91.58°, β = 91.58°, γ = 22.24°
Fractional positions:
Cu 0.0000 0.0000 0.0000
Cu 0.1177 0.1177 0.6582
Cu 0.7732 0.7732 0.6639
Ag 0.2234 0.2234 0.3388
Ag 0.3341 0.3341 0.9853
Ag 0.4535 0.4535 0.6769
Ag 0.5566 0.5566 0.3285
Ag 0.6597 0.6597 0.9791
Ag 0.8895 0.8895 0.3353

Largest 10 diffraction maxima, sorted by position, 15 to 90 degrees two-theta:
- 38.96 deg, d 2.311, I 100
- 39.36 deg, d 2.289, I 32
- 44.92 deg, d 2.018, I 44
- 46.40 deg, d 1.957, I 19
- 66.31 deg, d 1.410, I 12
- 66.82 deg, d 1.400, I 12
- 78.56 deg, d 1.218, I 8
- 78.83 deg, d 1.214, I 15
- 79.34 deg, d 1.208, I 7
- 83.68 deg, d 1.156, I 9



No. 4
The following is a calculated X-ray diffraction stick pattern of BaSmMgAs2. It was derived from a GGA-PBE-relaxed structure, using Cu Kα (weighted mean of Kα1 and Kα2).
Kinematic intensities with the Lorentz-polarization factor, no thermal factor.

Atomic structure:
a = 9.2795 Å, b = 9.2795 Å, c = 7.0828 Å
α = 90.00°, β = 90.00°, γ = 152.08°
Fractional positions:
Ba 0.1990 0.8010 0.5000
Ba 0.8010 0.1990 0.0000
Sm 0.0265 0.9735 0.7947
Sm 0.9735 0.0265 0.2947
Mg 0.4021 0.5979 0.6295
Mg 0.5979 0.4021 0.1295
As 0.1620 0.8380 0.0211
As 0.4475 0.5525 0.0012
As 0.5525 0.4475 0.5012
As 0.8380 0.1620 0.5211

Largest 10 diffraction maxima, sorted by position, 15 to 90 degrees two-theta:
- 20.44 deg, d 4.345, I 31
- 27.06 deg, d 3.296, I 38
- 27.87 deg, d 3.202, I 47
- 31.88 deg, d 2.807, I 48
- 32.39 deg, d 2.764, I 27
- 32.62 deg, d 2.745, I 23
- 35.61 deg, d 2.521, I 100
- 40.28 deg, d 2.239, I 31
- 51.65 deg, d 1.770, I 27
- 52.62 deg, d 1.739, I 15